No. 1
Structure and simulated powder diffractogram of NaSr2As2O6 (a cell relaxed with PBE; Cu Kα (weighted mean of Kα1 and Kα2)).

Crystal structure
```
data_NaSr2As2O6
_chemical_formula_sum 'Na1 Sr2 As2 O6'
_space_group_name_H-M_alt 'P 1'
_space_group_IT_number 1
_cell_length_a 6.1047
_cell_length_b 6.1047
_cell_length_c 6.6348
_cell_angle_alpha 90.00
_cell_angle_beta 90.00
_cell_angle_gamma 120.00
loop_
_space_group_symop_operation_xyz
'x,y,z'
loop_
_atom_site_label
_atom_site_fract_x
_atom_site_fract_y
_atom_site_fract_z
Na1 0.0000 0.0000 0.0000
Sr1 0.3333 0.6667 0.8506
Sr2 0.6667 0.3333 0.1494
As1 0.3333 0.6667 0.3112
As2 0.6667 0.3333 0.6888
O1 0.0949 0.3926 0.1893
O2 0.2976 0.9051 0.1893
O3 0.3926 0.2976 0.8107
O4 0.6074 0.7024 0.1893
O5 0.7024 0.0949 0.8107
O6 0.9051 0.6074 0.8107
```

Top 10 peaks for 15° ≤ 2θ ≤ 90°, low angle first:
| two_theta | intensity |
| --- | --- |
| 16.8 | 860 |
| 26.9 | 192 |
| 29.3 | 1000 |
| 31.8 | 949 |
| 33.9 | 148 |
| 43.8 | 543 |
| 51.9 | 287 |
| 53.5 | 506 |
| 70.2 | 192 |
| 74.3 | 168 |

***

No. 2
Structure and simulated powder diffractogram of Tb3Nd3Dy2 (a cell relaxed with PBE; Cu Kα (weighted mean of Kα1 and Kα2)).

Crystal structure
```
data_Tb3Nd3Dy2
_chemical_formula_sum 'Tb3 Nd3 Dy2'
_space_group_name_H-M_alt 'P 1'
_space_group_IT_number 1
_cell_length_a 8.6871
_cell_length_b 8.6871
_cell_length_c 6.0391
_cell_angle_alpha 109.58
_cell_angle_beta 109.58
_cell_angle_gamma 38.80
loop_
_space_group_symop_operation_xyz
'x,y,z'
loop_
_atom_site_label
_atom_site_fract_x
_atom_site_fract_y
_atom_site_fract_z
Tb1 0.0000 0.0000 0.0000
Tb2 0.1326 0.1326 0.5798
Tb3 0.8674 0.8674 0.4202
Nd1 0.3653 0.3653 0.8051
Nd2 0.5000 0.5000 0.5000
Nd3 0.6347 0.6347 0.1949
Dy1 0.2500 0.2500 0.1820
Dy2 0.7500 0.7500 0.8180
```

Top 10 peaks for 15° ≤ 2θ ≤ 90°, low angle first:
| two_theta | intensity |
| --- | --- |
| 29.6 | 428 |
| 31.0 | 606 |
| 31.6 | 1000 |
| 31.9 | 995 |
| 33.9 | 209 |
| 43.4 | 303 |
| 47.5 | 177 |
| 55.5 | 203 |
| 55.7 | 205 |
| 57.8 | 189 |

***

No. 3
Structure and simulated powder diffractogram of La8S6Br (a cell relaxed with PBE; Cu Kα (weighted mean of Kα1 and Kα2)).

Crystal structure
```
data_La8S6Br
_chemical_formula_sum 'La8 S6 Br1'
_space_group_name_H-M_alt 'P 1'
_space_group_IT_number 1
_cell_length_a 10.9509
_cell_length_b 10.9509
_cell_length_c 4.2850
_cell_angle_alpha 90.00
_cell_angle_beta 90.00
_cell_angle_gamma 120.00
loop_
_space_group_symop_operation_xyz
'x,y,z'
loop_
_atom_site_label
_atom_site_fract_x
_atom_site_fract_y
_atom_site_fract_z
La1 0.0384 0.3597 0.2559
La2 0.3213 0.9616 0.2559
La3 0.3333 0.6667 0.7470
La4 0.3597 0.3213 0.7441
La5 0.6403 0.6787 0.2559
La6 0.6667 0.3333 0.2530
La7 0.6787 0.0384 0.7441
La8 0.9616 0.6403 0.7441
S1 0.1407 0.6602 0.2461
S2 0.3398 0.4805 0.2461
S3 0.4805 0.1407 0.7539
S4 0.5195 0.8593 0.2461
S5 0.6602 0.5195 0.7539
S6 0.8593 0.3398 0.7539
Br1 0.0000 0.0000 0.5000
```

Top 10 peaks for 15° ≤ 2θ ≤ 90°, low angle first:
| two_theta | intensity |
| --- | --- |
| 26.4 | 841 |
| 28.1 | 398 |
| 28.2 | 1000 |
| 32.6 | 399 |
| 39.0 | 445 |
| 42.2 | 158 |
| 46.8 | 340 |
| 48.9 | 213 |
| 51.5 | 266 |
| 58.3 | 182 |

***

No. 4
Structure and simulated powder diffractogram of CaPmHo2Sb4 (a cell relaxed with PBE; Cu Kα (weighted mean of Kα1 and Kα2)).

Crystal structure
```
data_CaPmHo2Sb4
_chemical_formula_sum 'Ca1 Pm1 Ho2 Sb4'
_space_group_name_H-M_alt 'P 1'
_space_group_IT_number 1
_cell_length_a 7.6826
_cell_length_b 7.6826
_cell_length_c 7.6826
_cell_angle_alpha 131.81
_cell_angle_beta 131.81
_cell_angle_gamma 70.52
loop_
_space_group_symop_operation_xyz
'x,y,z'
loop_
_atom_site_label
_atom_site_fract_x
_atom_site_fract_y
_atom_site_fract_z
Ca1 0.0000 0.0000 0.0000
Pm1 0.5000 0.5000 0.0000
Ho1 0.2500 0.7500 0.5000
Ho2 0.7500 0.2500 0.5000
Sb1 0.0000 0.5000 0.5000
Sb2 0.2515 0.2515 0.0000
Sb3 0.5000 0.0000 0.5000
Sb4 0.7485 0.7485 0.0000
```

Top 10 peaks for 15° ≤ 2θ ≤ 90°, low angle first:
| two_theta | intensity |
| --- | --- |
| 15.8 | 59 |
| 20.0 | 28 |
| 28.5 | 1000 |
| 32.7 | 21 |
| 40.7 | 761 |
| 50.4 | 271 |
| 58.9 | 127 |
| 66.7 | 347 |
| 74.0 | 256 |
| 88.1 | 84 |

***

No. 5
Structure and simulated powder diffractogram of CsPBr4 (a cell relaxed with PBE; Cu Kα (weighted mean of Kα1 and Kα2)).

Crystal structure
```
data_CsPBr4
_chemical_formula_sum 'Cs2 P2 Br8'
_space_group_name_H-M_alt 'P 1'
_space_group_IT_number 1
_cell_length_a 10.5992
_cell_length_b 5.9462
_cell_length_c 8.4714
_cell_angle_alpha 90.00
_cell_angle_beta 90.00
_cell_angle_gamma 90.00
loop_
_space_group_symop_operation_xyz
'x,y,z'
loop_
_atom_site_label
_atom_site_fract_x
_atom_site_fract_y
_atom_site_fract_z
Cs1 0.0000 0.2168 0.0000
Cs2 0.5000 0.7832 0.5000
P1 0.0000 0.7794 0.5592
P2 0.5000 0.2206 0.0592
Br1 0.0000 0.1579 0.5247
Br2 0.0000 0.7129 0.2258
Br3 0.1713 0.7498 0.7370
Br4 0.3287 0.2502 0.2370
Br5 0.5000 0.2871 0.7258
Br6 0.5000 0.8421 0.0247
Br7 0.6713 0.2502 0.2370
Br8 0.8287 0.7498 0.7370
```

Top 10 peaks for 15° ≤ 2θ ≤ 90°, low angle first:
| two_theta | intensity |
| --- | --- |
| 16.7 | 431 |
| 18.2 | 195 |
| 24.8 | 395 |
| 26.9 | 299 |
| 27.2 | 1000 |
| 27.4 | 236 |
| 29.4 | 238 |
| 30.1 | 319 |
| 50.5 | 202 |
| 51.6 | 181 |

***

No. 6
Structure and simulated powder diffractogram of Mn2Ni (a cell relaxed with PBE; Cu Kα (weighted mean of Kα1 and Kα2)).

Crystal structure
```
data_Mn2Ni
_chemical_formula_sum 'Mn6 Ni3'
_space_group_name_H-M_alt 'P 1'
_space_group_IT_number 1
_cell_length_a 6.9570
_cell_length_b 6.9570
_cell_length_c 2.5425
_cell_angle_alpha 90.00
_cell_angle_beta 90.00
_cell_angle_gamma 120.00
loop_
_space_group_symop_operation_xyz
'x,y,z'
loop_
_atom_site_label
_atom_site_fract_x
_atom_site_fract_y
_atom_site_fract_z
Mn1 0.0000 0.3012 0.0000
Mn2 0.0000 0.6367 0.5000
Mn3 0.3012 0.0000 0.0000
Mn4 0.3633 0.3633 0.5000
Mn5 0.6367 0.0000 0.5000
Mn6 0.6988 0.6988 0.0000
Ni1 0.0000 0.0000 0.5000
Ni2 0.3333 0.6667 0.0000
Ni3 0.6667 0.3333 0.0000
```

Top 10 peaks for 15° ≤ 2θ ≤ 90°, low angle first:
| two_theta | intensity |
| --- | --- |
| 38.4 | 115 |
| 39.6 | 111 |
| 44.1 | 724 |
| 45.1 | 1000 |
| 46.8 | 305 |
| 54.1 | 209 |
| 65.0 | 161 |
| 78.8 | 171 |
| 82.6 | 126 |
| 83.3 | 107 |